Calculated powder XRD pattern of Ta4Nb2Ni3N3 for CuKα, from a crystal structure in OQMD, relaxed with PBE.

Top 12 peaks for 10 to 80 degrees two-theta, in order of rising 2θ:
2θ/deg	d_spacing	I (rel.)
19.76	4.493	15.0
27.13	3.287	21.3
34.17	2.624	18.2
34.87	2.573	42.9
35.13	2.555	22.0
40.05	2.251	100.0
40.28	2.239	52.8
41.19	2.191	27.1
44.15	2.051	15.1
60.63	1.527	14.3
61.52	1.507	19.2
68.48	1.370	16.7

Cell and atoms:
```
24
Lattice="4.556 -2.604 0.000 4.556 2.604 0.000 -3.039 0.000 13.148" Properties=species:S:1:pos:R:3 pbc="T T T"
Ta 0.750 0.478 1.192
Ta 0.782 0.430 5.379
Ta -0.769 -0.478 7.766
Ta -0.738 -0.430 11.953
Ta 6.812 0.430 1.195
Ta 6.843 0.478 5.383
Ta 5.292 -0.430 7.770
Ta 5.324 -0.478 11.957
Nb 3.833 0.427 1.698
Nb 3.760 0.427 4.877
Nb 2.313 -0.427 8.272
Nb 2.241 -0.427 11.451
Ni -0.082 0.898 9.841
Ni 2.277 2.055 9.861
Ni 1.437 -0.898 3.267
Ni 4.637 0.898 9.881
Ni 3.797 -2.055 3.287
Ni 6.156 -0.898 3.307
N 2.278 1.302 0.000
N 2.328 1.210 6.573
N 5.266 1.210 0.001
N 0.759 -1.302 6.574
N 0.808 -1.210 13.147
N 3.746 -1.210 6.575
```